Starting from a DFT-relaxed cell (PBE, Alexandria), the X-ray powder pattern of TaTl3Cd2O6 was computed for Cu Kα (λ = 1.5418 Å).

Crystal structure
```
data_TaTl3Cd2O6
_cell_length_a 5.8685
_cell_length_b 10.3614
_cell_length_c 6.6606
_cell_angle_alpha 90.00
_cell_angle_beta 104.61
_cell_angle_gamma 90.00
_space_group_name_H-M_alt 'C 1 2/m 1'
_space_group_IT_number 12
loop_
_space_group_symop_operation_xyz
'x,y,z'
'-x,-y,-z'
'-x,y,-z'
'x,-y,z'
'x+1/2,y+1/2,z'
'-x+1/2,-y+1/2,-z'
'-x+1/2,y+1/2,-z'
'x+1/2,-y+1/2,z'
loop_
_atom_site_label
_atom_site_fract_x
_atom_site_fract_y
_atom_site_fract_z
Ta1 0.0000 0.0000 0.0000
Tl1 0.0000 0.1696 0.5000
Tl2 0.0000 0.5000 0.5000
Cd1 0.0000 0.3319 0.0000
O1 0.2072 0.1410 0.1638
O2 0.2106 0.0000 0.7992
```

Most intense lines, 10 to 90 degrees two-theta, sorted by position:
index  d_spacing  I (rel.)
0 0 2  3.223  71
2 0 0  2.839  48
1 3 -1  2.827  95
1 3 1  2.559  100
2 0 -2  2.460  45
2 0 2  1.905  19
1 3 -3  1.856  35
3 3 -1  1.701  29
1 3 3  1.638  22
3 3 1  1.528  17